Record 1
The following is a calculated powder XRD pattern of Pr4Se3O10F6. It was derived from a DFT-relaxed cell (GGA-PBE, the Materials Project), using a wavelength of 1.5418 Å.

Top 10 peaks for 2θ = 10–90°, sorted by position:
2θ (°)  d_spacing  I_rel
24.5  3.627  92
24.7  3.600  29
27.1  3.293  38
27.7  3.225  100
28.9  3.085  99
30.6  2.919  59
44.8  2.021  43
45.0  2.014  62
45.2  2.007  30
50.9  1.795  30

Structure:
```
data_Pr4Se3O10F6
_chemical_formula_sum 'Pr8 Se6 O20 F12'
_cell_length_a 11.877
_cell_length_b 11.877
_cell_length_c 8.441
_cell_angle_alpha 98.67
_cell_angle_beta 98.67
_cell_angle_gamma 35.29
_space_group_name_H-M_alt 'P 1'
_space_group_IT_number 1
_space_group_name_Hall 'P 1'
loop_
_atom_site_label
_atom_site_type_symbol
_atom_site_fract_x
_atom_site_fract_y
_atom_site_fract_z
Pr1 Pr 0.044 0.214 0.031
Pr2 Pr 0.214 0.044 0.531
Pr3 Pr 0.219 0.356 0.330
Pr4 Pr 0.356 0.219 0.830
Pr5 Pr 0.644 0.781 0.170
Pr6 Pr 0.781 0.644 0.670
Pr7 Pr 0.786 0.956 0.469
Pr8 Pr 0.956 0.786 0.969
Se1 Se 0.110 0.890 0.250
Se2 Se 0.330 0.484 0.634
Se3 Se 0.484 0.330 0.134
Se4 Se 0.516 0.670 0.866
Se5 Se 0.670 0.516 0.366
Se6 Se 0.890 0.110 0.750
O1 O 0.040 0.082 0.244
O2 O 0.082 0.040 0.744
O3 O 0.137 0.607 0.492
O4 O 0.210 0.751 0.080
O5 O 0.243 0.524 0.809
O6 O 0.249 0.790 0.420
O7 O 0.250 0.461 0.100
O8 O 0.393 0.863 0.008
O9 O 0.461 0.250 0.600
O10 O 0.476 0.757 0.691
O11 O 0.524 0.243 0.309
O12 O 0.539 0.750 0.400
O13 O 0.607 0.137 0.992
O14 O 0.750 0.539 0.900
O15 O 0.751 0.210 0.580
O16 O 0.757 0.476 0.191
O17 O 0.790 0.249 0.920
O18 O 0.863 0.393 0.508
O19 O 0.918 0.960 0.256
O20 O 0.960 0.918 0.756
F1 F 0.019 0.535 0.867
F2 F 0.144 0.348 0.580
F3 F 0.146 0.212 0.798
F4 F 0.212 0.146 0.298
F5 F 0.348 0.144 0.080
F6 F 0.465 0.981 0.633
F7 F 0.535 0.019 0.367
F8 F 0.652 0.856 0.920
F9 F 0.788 0.854 0.702
F10 F 0.854 0.788 0.202
F11 F 0.856 0.652 0.420
F12 F 0.981 0.465 0.133
```

Record 2
The following is a calculated powder XRD pattern of Nb4Te9I4O. It was derived from a DFT-relaxed cell (GGA-PBE, the Materials Project), using a wavelength of 1.5418 Å.

Top 10 peaks for 2θ = 10–90°, sorted by position:
2θ (°)  d_spacing  I_rel
10.0  8.809  38
22.9  3.888  39
24.0  3.703  100
25.7  3.472  35
27.0  3.300  87
30.7  2.912  84
35.0  2.564  30
36.2  2.481  45
36.8  2.440  33
43.3  2.090  38

Structure:
```
data_Nb4Te9I4O
_chemical_formula_sum 'Nb8 Te18 I8 O2'
_cell_length_a 11.982
_cell_length_b 11.982
_cell_length_c 20.890
_cell_angle_alpha 121.22
_cell_angle_beta 121.22
_cell_angle_gamma 30.53
_space_group_name_H-M_alt 'P 1'
_space_group_IT_number 1
_space_group_name_Hall 'P 1'
loop_
_atom_site_label
_atom_site_type_symbol
_atom_site_fract_x
_atom_site_fract_y
_atom_site_fract_z
Nb1 Nb 0.005 0.117 0.354
Nb2 Nb 0.117 0.005 0.854
Nb3 Nb 0.220 0.625 0.764
Nb4 Nb 0.375 0.780 0.736
Nb5 Nb 0.625 0.220 0.264
Nb6 Nb 0.780 0.375 0.236
Nb7 Nb 0.883 0.995 0.146
Nb8 Nb 0.995 0.883 0.646
Te1 Te 0.048 0.061 0.627
Te2 Te 0.061 0.048 0.127
Te3 Te 0.169 0.180 0.833
Te4 Te 0.180 0.169 0.333
Te5 Te 0.188 0.477 0.599
Te6 Te 0.304 0.696 0.250
Te7 Te 0.330 0.622 0.573
Te8 Te 0.378 0.670 0.927
Te9 Te 0.477 0.188 0.099
Te10 Te 0.523 0.812 0.901
Te11 Te 0.622 0.330 0.073
Te12 Te 0.670 0.378 0.427
Te13 Te 0.696 0.304 0.750
Te14 Te 0.812 0.523 0.401
Te15 Te 0.820 0.831 0.667
Te16 Te 0.831 0.820 0.167
Te17 Te 0.939 0.952 0.873
Te18 Te 0.952 0.939 0.373
I1 I 0.061 0.665 0.014
I2 I 0.272 0.392 0.280
I3 I 0.335 0.939 0.486
I4 I 0.392 0.272 0.780
I5 I 0.608 0.728 0.220
I6 I 0.665 0.061 0.514
I7 I 0.728 0.608 0.720
I8 I 0.939 0.335 0.986
O1 O 0.240 0.760 0.750
O2 O 0.760 0.240 0.250
```

Record 3
The following is a calculated powder XRD pattern of ScC2. It was derived from a DFT-relaxed cell (GGA-PBE, the Materials Project), using a wavelength of 1.5418 Å.

Top 10 peaks for 2θ = 10–90°, sorted by position:
2θ (°)  d_spacing  I_rel
21.0  4.234  31
38.9  2.316  100
40.9  2.209  30
42.7  2.117  32
48.1  1.892  34
53.0  1.727  49
64.9  1.437  11
69.1  1.360  21
82.2  1.173  9
84.7  1.144  20

Structure:
```
data_ScC2
_chemical_formula_sum 'Sc1 C2'
_cell_length_a 4.516
_cell_length_b 4.516
_cell_length_c 4.516
_cell_angle_alpha 35.06
_cell_angle_beta 35.06
_cell_angle_gamma 35.06
_space_group_name_H-M_alt 'P 1'
_space_group_IT_number 1
_space_group_name_Hall 'P 1'
loop_
_atom_site_label
_atom_site_type_symbol
_atom_site_fract_x
_atom_site_fract_y
_atom_site_fract_z
Sc1 Sc 0.000 0.000 0.000
C1 C 0.184 0.184 0.184
C2 C 0.816 0.816 0.816
```

Record 4
The following is a calculated powder XRD pattern of LiNb2Te4Cl10O. It was derived from a DFT-relaxed cell (GGA-PBE, the Materials Project), using a wavelength of 1.5418 Å.

Top 10 peaks for 2θ = 10–90°, sorted by position:
2θ (°)  d_spacing  I_rel
14.4  6.143  26
14.8  5.996  32
15.6  5.677  100
18.0  4.926  37
19.7  4.515  48
20.3  4.377  22
22.8  3.905  35
29.8  2.995  27
30.5  2.933  40
33.9  2.643  26

Structure:
```
data_LiNb2Te4Cl10O
_chemical_formula_sum 'Li1 Nb2 Te4 Cl10 O1'
_cell_length_a 7.220
_cell_length_b 8.837
_cell_length_c 9.549
_cell_angle_alpha 82.94
_cell_angle_beta 88.96
_cell_angle_gamma 77.18
_space_group_name_H-M_alt 'P 1'
_space_group_IT_number 1
_space_group_name_Hall 'P 1'
loop_
_atom_site_label
_atom_site_type_symbol
_atom_site_fract_x
_atom_site_fract_y
_atom_site_fract_z
Li1 Li 0.000 0.000 0.000
Nb1 Nb 0.049 0.646 0.038
Nb2 Nb 0.094 0.927 0.312
Te1 Te 0.377 0.394 0.495
Te2 Te 0.444 0.122 0.678
Te3 Te 0.635 0.507 0.639
Te4 Te 0.676 0.249 0.837
Cl1 Cl 0.005 0.494 0.854
Cl2 Cl 0.114 0.123 0.471
Cl3 Cl 0.197 0.815 0.865
Cl4 Cl 0.240 0.082 0.129
Cl5 Cl 0.349 0.491 0.097
Cl6 Cl 0.406 0.782 0.383
Cl7 Cl 0.753 0.839 0.963
Cl8 Cl 0.796 0.091 0.227
Cl9 Cl 0.885 0.511 0.202
Cl10 Cl 0.949 0.787 0.488
O1 O 0.075 0.793 0.172
```

Record 5
The following is a calculated powder XRD pattern of K3Ti. It was derived from a DFT-relaxed cell (GGA-PBE, the Materials Project), using a wavelength of 1.5418 Å.

Top 10 peaks for 2θ = 10–90°, sorted by position:
2θ (°)  d_spacing  I_rel
26.1  3.414  100
29.9  2.989  34
30.9  2.896  16
42.8  2.113  12
43.5  2.080  22
50.8  1.797  27
52.1  1.756  12
53.7  1.707  11
69.6  1.351  9
78.9  1.214  6

Structure:
```
data_K3Ti
_chemical_formula_sum 'K3 Ti1'
_cell_length_a 7.170
_cell_length_b 7.170
_cell_length_c 7.170
_cell_angle_alpha 130.73
_cell_angle_beta 130.73
_cell_angle_gamma 72.25
_space_group_name_H-M_alt 'P 1'
_space_group_IT_number 1
_space_group_name_Hall 'P 1'
loop_
_atom_site_label
_atom_site_type_symbol
_atom_site_fract_x
_atom_site_fract_y
_atom_site_fract_z
K1 K 0.000 0.000 0.000
K2 K 0.250 0.750 0.500
K3 K 0.750 0.250 0.500
Ti1 Ti 0.500 0.500 0.000
```

Record 6
The following is a calculated powder XRD pattern of Bi2B8O15. It was derived from a DFT-relaxed cell (GGA-PBE, the Materials Project), using a wavelength of 1.5418 Å.

Top 10 peaks for 2θ = 10–90°, sorted by position:
2θ (°)  d_spacing  I_rel
14.5  6.107  96
16.0  5.533  39
21.0  4.227  82
21.3  4.166  100
23.6  3.777  82
25.1  3.545  61
28.1  3.178  53
29.2  3.059  49
30.6  2.924  53
31.6  2.832  47

Structure:
```
data_Bi2B8O15
_chemical_formula_sum 'Bi4 B16 O30'
_cell_length_a 4.376
_cell_length_b 22.656
_cell_length_c 6.547
_cell_angle_alpha 90.00
_cell_angle_beta 104.39
_cell_angle_gamma 90.00
_space_group_name_H-M_alt 'P 1'
_space_group_IT_number 1
_space_group_name_Hall 'P 1'
loop_
_atom_site_label
_atom_site_type_symbol
_atom_site_fract_x
_atom_site_fract_y
_atom_site_fract_z
Bi1 Bi 0.113 0.000 0.400
Bi2 Bi 0.317 0.135 0.163
Bi3 Bi 0.683 0.635 0.837
Bi4 Bi 0.887 0.500 0.600
B1 B 0.029 0.319 0.279
B2 B 0.056 0.294 0.929
B3 B 0.072 0.138 0.586
B4 B 0.103 0.250 0.587
B5 B 0.187 0.885 0.009
B6 B 0.220 0.496 0.234
B7 B 0.351 0.635 0.199
B8 B 0.356 0.994 0.982
B9 B 0.644 0.494 0.018
B10 B 0.649 0.135 0.801
B11 B 0.780 0.996 0.766
B12 B 0.813 0.385 0.991
B13 B 0.897 0.750 0.413
B14 B 0.928 0.638 0.414
B15 B 0.944 0.794 0.071
B16 B 0.971 0.819 0.721
O1 O 0.066 0.304 0.485
O2 O 0.101 0.096 0.421
O3 O 0.102 0.198 0.489
O4 O 0.106 0.001 0.784
O5 O 0.113 0.844 0.147
O6 O 0.127 0.871 0.795
O7 O 0.140 0.252 0.805
O8 O 0.144 0.283 0.145
O9 O 0.182 0.640 0.994
O10 O 0.241 0.633 0.376
O11 O 0.313 0.937 0.089
O12 O 0.324 0.130 0.783
O13 O 0.330 0.496 0.056
O14 O 0.335 0.039 0.144
O15 O 0.390 0.492 0.439
O16 O 0.610 0.992 0.561
O17 O 0.665 0.539 0.856
O18 O 0.670 0.996 0.944
O19 O 0.676 0.630 0.217
O20 O 0.687 0.437 0.911
O21 O 0.759 0.133 0.624
O22 O 0.818 0.140 0.006
O23 O 0.856 0.783 0.855
O24 O 0.860 0.752 0.195
O25 O 0.873 0.371 0.205
O26 O 0.887 0.344 0.853
O27 O 0.894 0.501 0.216
O28 O 0.898 0.698 0.511
O29 O 0.899 0.596 0.579
O30 O 0.934 0.804 0.515
```

Record 7
The following is a calculated powder XRD pattern of Mg4SiSn. It was derived from a DFT-relaxed cell (GGA-PBE, the Materials Project), using a wavelength of 1.5418 Å.

Top 10 peaks for 2θ = 10–90°, sorted by position:
2θ (°)  d_spacing  I_rel
18.9  4.688  41
21.9  4.060  26
31.2  2.871  60
36.7  2.448  100
38.4  2.344  19
50.3  1.816  13
55.4  1.657  24
59.1  1.563  34
65.0  1.435  20
77.0  1.238  12

Structure:
```
data_Mg4SiSn
_chemical_formula_sum 'Mg4 Si1 Sn1'
_cell_length_a 5.741
_cell_length_b 5.741
_cell_length_c 5.741
_cell_angle_alpha 60.00
_cell_angle_beta 60.00
_cell_angle_gamma 60.00
_space_group_name_H-M_alt 'P 1'
_space_group_IT_number 1
_space_group_name_Hall 'P 1'
loop_
_atom_site_label
_atom_site_type_symbol
_atom_site_fract_x
_atom_site_fract_y
_atom_site_fract_z
Mg1 Mg 0.125 0.125 0.125
Mg2 Mg 0.125 0.125 0.624
Mg3 Mg 0.125 0.624 0.125
Mg4 Mg 0.624 0.125 0.125
Si1 Si 0.500 0.500 0.500
Sn1 Sn 0.750 0.750 0.750
```

Record 8
The following is a calculated powder XRD pattern of MgZn3. It was derived from a DFT-relaxed cell (GGA-PBE, the Materials Project), using a wavelength of 1.5418 Å.

Top 10 peaks for 2θ = 10–90°, sorted by position:
2θ (°)  d_spacing  I_rel
10.1  8.779  30
34.8  2.578  28
40.6  2.223  100
41.1  2.195  21
47.0  1.935  6
54.9  1.671  14
62.4  1.489  17
74.6  1.272  14
77.1  1.237  14
77.5  1.232  17

Structure:
```
data_MgZn3
_chemical_formula_sum 'Mg1 Zn3'
_cell_length_a 2.977
_cell_length_b 2.977
_cell_length_c 8.779
_cell_angle_alpha 90.00
_cell_angle_beta 90.00
_cell_angle_gamma 120.00
_space_group_name_H-M_alt 'P 1'
_space_group_IT_number 1
_space_group_name_Hall 'P 1'
loop_
_atom_site_label
_atom_site_type_symbol
_atom_site_fract_x
_atom_site_fract_y
_atom_site_fract_z
Mg1 Mg 0.000 0.000 0.000
Zn1 Zn 0.000 0.000 0.500
Zn2 Zn 0.333 0.667 0.260
Zn3 Zn 0.333 0.667 0.740
```